This entry pairs a crystal structure of Be7Sb with its computed X-ray powder pattern. Radiation: Cu Ka. Structure: the GGA-PBE geometry in Alexandria.
Peak positions follow from Bragg's law for the DFT cell and can differ from measured ones.

The 10 most intense peaks (10 to 80 degrees two-theta), sorted by position:
2θ 21.73, 4.089 Å, intensity 100; 2θ 25.15, 3.541 Å, intensity 53; 2θ 35.86, 2.504 Å, intensity 42; 2θ 42.33, 2.135 Å, intensity 53; 2θ 44.30, 2.045 Å, intensity 31; 2θ 51.62, 1.771 Å, intensity 14; 2θ 56.65, 1.625 Å, intensity 22; 2θ 58.26, 1.584 Å, intensity 20; 2θ 64.45, 1.446 Å, intensity 15; 2θ 68.89, 1.363 Å, intensity 16

Crystal structure
```
data_Be7Sb
_space_group_name_H-M_alt 'F m -3 m'
_space_group_IT_number 225
_space_group_name_Hall '-F 4 2 3'
_cell_length_a 7.082
_cell_length_b 7.082
_cell_length_c 7.082
_cell_angle_alpha 90.00
_cell_angle_beta 90.00
_cell_angle_gamma 90.00
loop_
_atom_site_label
_atom_site_type_symbol
_atom_site_fract_x
_atom_site_fract_y
_atom_site_fract_z
_atom_site_occupancy
Be1 Be 0.000 0.000 0.000 1
Be2 Be 0.000 0.250 0.250 1
Sb1 Sb 0.000 0.000 0.500 1
```


This entry pairs a crystal structure of AcAgSnPd2 with its computed X-ray powder pattern. Radiation: Cu Ka. Structure: the GGA-PBE geometry in Alexandria.
Peak positions follow from Bragg's law for the DFT cell and can differ from measured ones.

The 10 most intense peaks (10 to 80 degrees two-theta), sorted by position:
2θ 26.01, 3.426 Å, intensity 27; 2θ 29.01, 3.078 Å, intensity 78; 2θ 29.77, 3.001 Å, intensity 44; 2θ 32.58, 2.749 Å, intensity 34; 2θ 33.64, 2.664 Å, intensity 100; 2θ 36.18, 2.483 Å, intensity 29; 2θ 39.36, 2.289 Å, intensity 85; 2θ 43.01, 2.103 Å, intensity 38; 2θ 43.46, 2.082 Å, intensity 26; 2θ 71.31, 1.323 Å, intensity 25

Crystal structure
```
data_AcAgSnPd2
_space_group_name_H-M_alt 'C m m e'
_space_group_IT_number 67
_space_group_name_Hall '-C 2a 2'
_cell_length_a 6.001
_cell_length_b 13.705
_cell_length_c 5.783
_cell_angle_alpha 90.00
_cell_angle_beta 90.00
_cell_angle_gamma 90.00
loop_
_atom_site_label
_atom_site_type_symbol
_atom_site_fract_x
_atom_site_fract_y
_atom_site_fract_z
_atom_site_occupancy
Ac1 Ac 0.000 0.250 0.225 1
Ag1 Ag 0.000 0.000 0.000 1
Sn1 Sn 0.250 0.000 0.500 1
Pd1 Pd 0.000 0.151 0.695 1
```


This entry pairs a crystal structure of Y2Ho5Fe2 with its computed X-ray powder pattern. Radiation: Cu Ka. Structure: the GGA-PBE geometry in Alexandria.
Peak positions follow from Bragg's law for the DFT cell and can differ from measured ones.

The 10 most intense peaks (10 to 80 degrees two-theta), sorted by position:
2θ 28.89, 3.090 Å, intensity 41; 2θ 29.01, 3.078 Å, intensity 37; 2θ 31.28, 2.860 Å, intensity 100; 2θ 31.42, 2.847 Å, intensity 97; 2θ 33.89, 2.645 Å, intensity 67; 2θ 36.27, 2.477 Å, intensity 40; 2θ 36.40, 2.468 Å, intensity 47; 2θ 36.69, 2.450 Å, intensity 67; 2θ 41.03, 2.200 Å, intensity 34; 2θ 60.96, 1.520 Å, intensity 38

Crystal structure
```
data_Y2Ho5Fe2
_space_group_name_H-M_alt 'C m c e'
_space_group_IT_number 64
_space_group_name_Hall '-C 2ac 2'
_cell_length_a 19.814
_cell_length_b 7.005
_cell_length_c 6.959
_cell_angle_alpha 90.00
_cell_angle_beta 90.00
_cell_angle_gamma 90.00
loop_
_atom_site_label
_atom_site_type_symbol
_atom_site_fract_x
_atom_site_fract_y
_atom_site_fract_z
_atom_site_occupancy
Y1 Y 0.233 0.000 0.000 1
Ho1 Ho 0.000 0.000 0.000 1
Ho2 Ho 0.107 0.181 0.321 1
Fe1 Fe 0.000 0.110 0.606 1
```


This entry pairs a crystal structure of Dy2Y3Se6 with its computed X-ray powder pattern. Radiation: Cu Ka. Structure: the GGA-PBE geometry in Alexandria.
Peak positions follow from Bragg's law for the DFT cell and can differ from measured ones.

The 10 most intense peaks (10 to 80 degrees two-theta), sorted by position:
2θ 13.18, 6.718 Å, intensity 17; 2θ 27.68, 3.223 Å, intensity 13; 2θ 29.88, 2.990 Å, intensity 100; 2θ 32.58, 2.749 Å, intensity 24; 2θ 41.49, 2.176 Å, intensity 11; 2θ 44.01, 2.057 Å, intensity 49; 2θ 45.32, 2.001 Å, intensity 30; 2θ 54.11, 1.695 Å, intensity 18; 2θ 72.21, 1.308 Å, intensity 16; 2θ 72.68, 1.301 Å, intensity 19

Crystal structure
```
data_Dy2Y3Se6
_space_group_name_H-M_alt 'R -3 m'
_space_group_IT_number 166
_space_group_name_Hall '-R 3 2"'
_cell_length_a 4.1150
_cell_length_b 4.1150
_cell_length_c 60.4598
_cell_angle_alpha 90.00
_cell_angle_beta 90.00
_cell_angle_gamma 120.00
loop_
_atom_site_label
_atom_site_type_symbol
_atom_site_fract_x
_atom_site_fract_y
_atom_site_fract_z
_atom_site_occupancy
Dy1 Dy 0.0000 0.0000 0.0534 1
Y1 Y 0.0000 0.0000 0.2205 1
Y2 Y 0.0000 0.0000 0.5000 1
Se1 Se 0.0000 0.0000 0.1394 1
Se2 Se 0.0000 0.0000 0.3031 1
Se3 Se 0.0000 0.0000 0.4176 1
```